Entry 1:
Structure and computed powder diffraction line list of Ba2PrRh9 (a PBE-relaxed structure; Cu Kα, 1.54184 Å).
Peak positions follow from Bragg's law for the DFT cell and can differ from measured ones.

Cell and atoms:
```
data_Ba2PrRh9
_chemical_formula_sum 'Ba6 Pr3 Rh27'
_space_group_name_H-M_alt 'R -3 m'
_space_group_IT_number 166
_space_group_name_Hall '-R 3 2"'
_cell_length_a 5.4385
_cell_length_b 5.4385
_cell_length_c 27.2370
_cell_angle_alpha 90.00
_cell_angle_beta 90.00
_cell_angle_gamma 120.00
loop_
_atom_site_label
_atom_site_fract_x
_atom_site_fract_y
_atom_site_fract_z
_atom_site_occupancy
Ba1 0.0000 0.0000 0.1413 1
Pr1 0.0000 0.0000 0.0000 1
Rh1 0.0000 0.0000 0.3318 1
Rh2 0.0000 0.0000 0.5000 1
Rh3 0.0070 0.5035 0.0771 1
```

Most intense lines, 2θ = 10–90°, by intensity:
| index | 2theta | Rel. int. |
| --- | --- | --- |
| 1 1 6 | 38.60 | 1000 |
| 0 2 1 | 38.37 | 332 |
| 1 1 0 | 32.94 | 305 |
| 1 0 7 | 29.78 | 261 |
| 0 1 8 | 32.45 | 248 |
| 2 2 0 | 69.08 | 242 |
| 0 3 6 | 62.61 | 238 |
| 2 0 5 | 41.79 | 234 |
| 0 0 12 | 39.71 | 203 |
| 2 0 14 | 61.86 | 162 |



Entry 2:
Structure and computed powder diffraction line list of NaPuHg (a PBE-relaxed structure; Cu Kα, 1.54184 Å).
Peak positions follow from Bragg's law for the DFT cell and can differ from measured ones.

Cell and atoms:
```
data_NaPuHg
_chemical_formula_sum 'Na2 Pu2 Hg2'
_space_group_name_H-M_alt 'I 4 m m'
_space_group_IT_number 107
_space_group_name_Hall 'I 4 -2'
_cell_length_a 3.2395
_cell_length_b 3.2395
_cell_length_c 15.5263
_cell_angle_alpha 90.00
_cell_angle_beta 90.00
_cell_angle_gamma 90.00
loop_
_atom_site_label
_atom_site_fract_x
_atom_site_fract_y
_atom_site_fract_z
_atom_site_occupancy
Na1 0.0000 0.0000 0.0000 1
Pu1 0.0000 0.0000 0.3018 1
Hg1 0.0000 0.0000 0.6494 1
```

Most intense lines, 2θ = 10–90°, by intensity:
| index | 2theta | Rel. int. |
| --- | --- | --- |
| 1 0 3 | 32.61 | 1000 |
| 0 0 2 | 11.40 | 699 |
| 1 1 0 | 39.33 | 312 |
| 2 1 3 | 67.09 | 258 |
| 1 1 6 | 53.42 | 234 |
| 1 0 1 | 28.14 | 226 |
| 1 0 5 | 40.23 | 215 |
| 0 0 6 | 34.66 | 196 |
| 1 0 9 | 60.83 | 139 |
| 1 1 2 | 41.08 | 137 |



Entry 3:
Structure and computed powder diffraction line list of Sm2Dy3Sc3 (a PBE-relaxed structure; Cu Kα, 1.54184 Å).
Peak positions follow from Bragg's law for the DFT cell and can differ from measured ones.

Cell and atoms:
```
data_Sm2Dy3Sc3
_chemical_formula_sum 'Sm4 Dy6 Sc6'
_space_group_name_H-M_alt 'C 1 2/m 1'
_space_group_IT_number 12
_cell_length_a 23.0736
_cell_length_b 3.4926
_cell_length_c 5.9948
_cell_angle_alpha 90.00
_cell_angle_beta 104.79
_cell_angle_gamma 90.00
loop_
_space_group_symop_operation_xyz
'x,y,z'
'-x,-y,-z'
'-x,y,-z'
'x,-y,z'
'x+1/2,y+1/2,z'
'-x+1/2,-y+1/2,-z'
'-x+1/2,y+1/2,-z'
'x+1/2,-y+1/2,z'
loop_
_atom_site_label
_atom_site_fract_x
_atom_site_fract_y
_atom_site_fract_z
_atom_site_occupancy
Sm1 0.2463 0.0000 0.2420 1
Dy1 0.0000 0.0000 0.0000 1
Dy2 0.1223 0.0000 0.4623 1
Sc1 0.0000 0.5000 0.5000 1
Sc2 0.1221 0.5000 0.9552 1
```

Most intense lines, 2θ = 10–90°, by intensity:
| index | 2theta | Rel. int. |
| --- | --- | --- |
| 5 1 -1 | 33.77 | 1000 |
| 8 0 0 | 32.10 | 454 |
| 1 1 1 | 30.68 | 328 |
| 2 0 2 | 33.89 | 240 |
| 3 1 -3 | 52.78 | 223 |
| 4 0 -1 | 19.06 | 210 |
| 6 0 -2 | 34.02 | 207 |
| 4 0 -2 | 30.91 | 178 |
| 7 1 -1 | 38.44 | 170 |
| 1 1 0 | 25.82 | 157 |



Entry 4:
Structure and computed powder diffraction line list of ErNi12Sn6 (a PBE-relaxed structure; Cu Kα, 1.54184 Å).
Peak positions follow from Bragg's law for the DFT cell and can differ from measured ones.

Cell and atoms:
```
data_ErNi12Sn6
_chemical_formula_sum 'Er3 Ni36 Sn18'
_space_group_name_H-M_alt 'R -3 m'
_space_group_IT_number 166
_space_group_name_Hall '-R 3 2"'
_cell_length_a 10.8387
_cell_length_b 10.8387
_cell_length_c 9.1593
_cell_angle_alpha 90.00
_cell_angle_beta 90.00
_cell_angle_gamma 120.00
loop_
_atom_site_label
_atom_site_fract_x
_atom_site_fract_y
_atom_site_fract_z
_atom_site_occupancy
Er1 0.0000 0.0000 0.0000 1
Ni1 0.0000 0.3890 0.5000 1
Ni2 0.0793 0.1587 0.2605 1
Sn1 0.0557 0.5279 0.2585 1
```

Most intense lines, 2θ = 10–90°, by intensity:
| index | 2theta | Rel. int. |
| --- | --- | --- |
| 0 3 3 | 41.32 | 1000 |
| 0 2 4 | 44.00 | 981 |
| 2 1 1 | 26.95 | 940 |
| 3 2 1 | 43.15 | 751 |
| 1 2 2 | 31.91 | 725 |
| 5 0 2 | 52.70 | 663 |
| 2 3 2 | 46.61 | 651 |
| 1 3 1 | 35.86 | 579 |
| 2 0 2 | 27.21 | 418 |
| 1 1 3 | 33.69 | 418 |



Entry 5:
Structure and computed powder diffraction line list of BaSr2Cu (a PBE-relaxed structure; Cu Kα, 1.54184 Å).
Peak positions follow from Bragg's law for the DFT cell and can differ from measured ones.

Cell and atoms:
```
data_BaSr2Cu
_chemical_formula_sum 'Ba2 Sr4 Cu2'
_space_group_name_H-M_alt 'P 1 21/m 1'
_space_group_IT_number 11
_cell_length_a 4.3645
_cell_length_b 10.9961
_cell_length_c 7.5399
_cell_angle_alpha 90.00
_cell_angle_beta 106.82
_cell_angle_gamma 90.00
loop_
_space_group_symop_operation_xyz
'x,y,z'
'-x,-y,-z'
'-x,y+1/2,-z'
'x,-y+1/2,z'
loop_
_atom_site_label
_atom_site_fract_x
_atom_site_fract_y
_atom_site_fract_z
_atom_site_occupancy
Ba1 0.0871 0.2500 0.1733 1
Sr1 0.3549 0.0718 0.7092 1
Cu1 0.2421 0.7500 0.4875 1
```

Most intense lines, 2θ = 10–90°, by intensity:
| index | 2theta | Rel. int. |
| --- | --- | --- |
| 1 1 1 | 28.79 | 1000 |
| 0 3 1 | 27.29 | 834 |
| 1 2 0 | 26.80 | 750 |
| 0 2 3 | 40.94 | 378 |
| 0 4 0 | 32.52 | 349 |
| 2 3 -2 | 50.27 | 304 |
| 1 3 -5 | 67.22 | 304 |
| 0 1 2 | 25.99 | 300 |
| 1 5 1 | 50.17 | 252 |
| 2 0 -1 | 41.37 | 251 |



Entry 6:
Structure and computed powder diffraction line list of CePaSi3 (a PBE-relaxed structure; Cu Kα, 1.54184 Å).
Peak positions follow from Bragg's law for the DFT cell and can differ from measured ones.

Cell and atoms:
```
data_CePaSi3
_chemical_formula_sum 'Ce4 Pa4 Si12'
_space_group_name_H-M_alt 'C m c m'
_space_group_IT_number 63
_space_group_name_Hall '-C 2c 2'
_cell_length_a 4.1318
_cell_length_b 24.6279
_cell_length_c 4.0149
_cell_angle_alpha 90.00
_cell_angle_beta 90.00
_cell_angle_gamma 90.00
loop_
_atom_site_label
_atom_site_fract_x
_atom_site_fract_y
_atom_site_fract_z
_atom_site_occupancy
Ce1 0.0000 0.0708 0.2500 1
Pa1 0.0000 0.2044 0.7500 1
Si1 0.0000 0.3231 0.7500 1
Si2 0.0000 0.3801 0.2500 1
Si3 0.0000 0.4756 0.2500 1
```

Most intense lines, 2θ = 10–90°, by intensity:
| index | 2theta | Rel. int. |
| --- | --- | --- |
| 1 3 1 | 32.97 | 1000 |
| 0 4 1 | 26.50 | 713 |
| 1 7 0 | 33.45 | 647 |
| 1 7 2 | 57.36 | 280 |
| 1 1 1 | 31.28 | 273 |
| 2 4 1 | 51.95 | 272 |
| 1 11 1 | 51.72 | 248 |
| 0 8 0 | 29.00 | 232 |
| 2 0 0 | 43.82 | 222 |
| 1 1 0 | 21.81 | 206 |



Entry 7:
Structure and computed powder diffraction line list of Cu3PdRh (a PBE-relaxed structure; Cu Kα, 1.54184 Å).
Peak positions follow from Bragg's law for the DFT cell and can differ from measured ones.

Cell and atoms:
```
data_Cu3PdRh
_chemical_formula_sum 'Cu6 Pd2 Rh2'
_space_group_name_H-M_alt 'P 1'
_space_group_IT_number 1
_cell_length_a 2.7155
_cell_length_b 7.0631
_cell_length_c 7.2982
_cell_angle_alpha 105.14
_cell_angle_beta 90.02
_cell_angle_gamma 100.96
loop_
_space_group_symop_operation_xyz
'x,y,z'
loop_
_atom_site_label
_atom_site_fract_x
_atom_site_fract_y
_atom_site_fract_z
_atom_site_occupancy
Cu1 0.0000 0.0000 0.0000 1
Cu2 0.9998 0.9997 0.4970 1
Cu3 0.2019 0.4009 0.6104 1
Cu4 0.4001 0.8004 0.1941 1
Cu5 0.5962 0.1923 0.7855 1
Cu6 0.8047 0.6085 0.8946 1
Pd1 0.2016 0.4003 0.0792 1
Pd2 0.6001 0.1966 0.3037 1
Rh1 0.4019 0.8045 0.6996 1
Rh2 0.8036 0.6052 0.4038 1
```

Most intense lines, 2θ = 10–90°, by intensity:
| index | 2theta | Rel. int. |
| --- | --- | --- |
| 1 0 -2 | 41.45 | 1000 |
| 0 3 -2 | 41.82 | 486 |
| 0 2 2 | 41.95 | 480 |
| 1 2 0 | 47.68 | 331 |
| 1 -3 0 | 47.79 | 329 |
| 0 1 -4 | 49.99 | 277 |
| 1 -4 4 | 71.62 | 175 |
| 2 -4 2 | 84.29 | 116 |
| 1 -6 2 | 85.16 | 112 |
| 2 -1 0 | 69.19 | 112 |



Entry 8:
Structure and computed powder diffraction line list of Ac5La2PrHo (a PBE-relaxed structure; Cu Kα, 1.54184 Å).
Peak positions follow from Bragg's law for the DFT cell and can differ from measured ones.

Cell and atoms:
```
data_Ac5La2PrHo
_chemical_formula_sum 'Ac20 La8 Pr4 Ho4'
_space_group_name_H-M_alt 'I 4/m c m'
_space_group_IT_number 140
_space_group_name_Hall '-I 4 2c'
_cell_length_a 8.4802
_cell_length_b 8.4802
_cell_length_c 20.8531
_cell_angle_alpha 90.00
_cell_angle_beta 90.00
_cell_angle_gamma 90.00
loop_
_atom_site_label
_atom_site_fract_x
_atom_site_fract_y
_atom_site_fract_z
_atom_site_occupancy
Ac1 0.0000 0.0000 0.0000 1
Ac2 0.2290 0.2710 0.1385 1
La1 0.1216 0.3784 0.5000 1
Pr1 0.0000 0.0000 0.2500 1
Ho1 0.0000 0.5000 0.2500 1
```

Most intense lines, 2θ = 10–90°, by intensity:
| index | 2theta | Rel. int. |
| --- | --- | --- |
| 2 0 4 | 27.11 | 1000 |
| 2 2 0 | 29.80 | 402 |
| 4 2 4 | 51.27 | 291 |
| 2 2 8 | 46.16 | 213 |
| 2 1 3 | 26.78 | 172 |
| 0 0 8 | 34.41 | 167 |
| 4 0 0 | 42.62 | 140 |
| 2 0 6 | 33.36 | 124 |
| 3 1 2 | 34.53 | 98 |
| 4 4 8 | 72.76 | 82 |



> Number 4 is which compound?

ErNi12Sn6